Li4Fe3Co2Sb3O16: theoretical X-ray powder pattern (copper Kα), based on DFT lattice parameters and positions (GGA+U).
Intensities are scaled so that the largest is 100.

abc: 6.062 6.062 9.848
angles: 90.87 90.87 60.01
Atoms (fractional coordinates):
Li 0.000 0.000 0.000
Li 0.015 0.015 0.516
Li 0.351 0.351 0.412
Li 0.684 0.684 0.885
Fe 0.190 0.685 0.726
Fe 0.685 0.190 0.726
Fe 0.851 0.851 0.226
Co 0.360 0.360 0.988
Co 0.697 0.697 0.527
Sb 0.193 0.193 0.726
Sb 0.357 0.851 0.227
Sb 0.851 0.357 0.227
O 0.019 0.019 0.330
O 0.025 0.025 0.822
O 0.050 0.499 0.850
O 0.172 0.708 0.120
O 0.173 0.173 0.113
O 0.342 0.876 0.608
O 0.356 0.356 0.616
O 0.499 0.050 0.850
O 0.500 0.500 0.839
O 0.533 0.533 0.342
O 0.541 0.987 0.336
O 0.685 0.685 0.114
O 0.708 0.172 0.120
O 0.867 0.867 0.622
O 0.876 0.342 0.608
O 0.987 0.541 0.336

Main lines, in order of falling intensity (2θ = 10–80°):
- 2θ 18.02, rel. 100
- 2θ 19.06, rel. 62
- 2θ 35.50, rel. 44
- 2θ 35.28, rel. 39
- 2θ 61.15, rel. 37
- 2θ 19.25, rel. 30
- 2θ 43.98, rel. 23
- 2θ 34.16, rel. 20